(1)
Structure and computed PXRD pattern of LiCo5O8 (a PBE+U-relaxed structure; Cu Kα, 1.54184 Å).
Neutral-atom scattering factors, no anomalous dispersion.

Main lines, in order of rising 2θ (15 to 90 degrees two-theta):
| 2theta | I_rel |
| --- | --- |
| 15.4 | 14.7 |
| 24.5 | 17.6 |
| 26.9 | 8.0 |
| 31.2 | 39.1 |
| 36.7 | 100.0 |
| 44.7 | 14.7 |
| 55.5 | 13.1 |
| 59.2 | 36.1 |
| 65.0 | 43.6 |
| 77.1 | 9.9 |

Structural model:
```
data_LiCo5O8
_space_group_name_H-M_alt 'P 1'
_space_group_IT_number 1
_space_group_name_Hall 'P 1'
_cell_length_a 8.114
_cell_length_b 8.114
_cell_length_c 8.114
_cell_angle_alpha 90.00
_cell_angle_beta 90.00
_cell_angle_gamma 90.00
loop_
_atom_site_label
_atom_site_type_symbol
_atom_site_fract_x
_atom_site_fract_y
_atom_site_fract_z
Li1 Li 0.125 0.125 0.125
Li2 Li 0.375 0.875 0.625
Li3 Li 0.625 0.375 0.875
Li4 Li 0.875 0.625 0.375
Co1 Co 0.000 0.000 0.500
Co2 Co 0.000 0.500 0.000
Co3 Co 0.125 0.375 0.375
Co4 Co 0.125 0.625 0.625
Co5 Co 0.125 0.875 0.875
Co6 Co 0.250 0.250 0.750
Co7 Co 0.250 0.750 0.250
Co8 Co 0.375 0.125 0.375
Co9 Co 0.375 0.375 0.125
Co10 Co 0.375 0.625 0.875
Co11 Co 0.500 0.000 0.000
Co12 Co 0.500 0.500 0.500
Co13 Co 0.625 0.125 0.625
Co14 Co 0.625 0.625 0.125
Co15 Co 0.625 0.875 0.375
Co16 Co 0.750 0.250 0.250
Co17 Co 0.750 0.750 0.750
Co18 Co 0.875 0.125 0.875
Co19 Co 0.875 0.375 0.625
Co20 Co 0.875 0.875 0.125
O1 O 0.107 0.871 0.109
O2 O 0.109 0.107 0.871
O3 O 0.112 0.388 0.612
O4 O 0.121 0.857 0.641
O5 O 0.129 0.609 0.393
O6 O 0.138 0.638 0.862
O7 O 0.141 0.379 0.143
O8 O 0.143 0.141 0.379
O9 O 0.357 0.859 0.879
O10 O 0.359 0.621 0.643
O11 O 0.362 0.362 0.362
O12 O 0.371 0.391 0.893
O13 O 0.379 0.143 0.141
O14 O 0.388 0.612 0.112
O15 O 0.391 0.893 0.371
O16 O 0.393 0.129 0.609
O17 O 0.607 0.629 0.891
O18 O 0.609 0.393 0.129
O19 O 0.612 0.112 0.388
O20 O 0.621 0.643 0.359
O21 O 0.629 0.891 0.607
O22 O 0.638 0.862 0.138
O23 O 0.641 0.121 0.857
O24 O 0.643 0.359 0.621
O25 O 0.857 0.641 0.121
O26 O 0.859 0.879 0.357
O27 O 0.862 0.138 0.638
O28 O 0.871 0.109 0.107
O29 O 0.879 0.357 0.859
O30 O 0.888 0.888 0.888
O31 O 0.891 0.607 0.629
O32 O 0.893 0.371 0.391
```

=====

(2)
Structure and computed PXRD pattern of LiCo4O5 (a PBE+U-relaxed structure; Cu Kα, 1.54184 Å).
Neutral-atom scattering factors, no anomalous dispersion.

Main lines, in order of rising 2θ (15 to 90 degrees two-theta):
| 2theta | I_rel |
| --- | --- |
| 18.7 | 23.6 |
| 25.1 | 30.4 |
| 26.6 | 11.4 |
| 36.8 | 85.3 |
| 42.6 | 100.0 |
| 43.2 | 46.6 |
| 61.8 | 28.0 |
| 62.3 | 55.7 |
| 74.2 | 23.1 |
| 78.4 | 25.5 |

Structural model:
```
data_LiCo4O5
_space_group_name_H-M_alt 'P 1'
_space_group_IT_number 1
_space_group_name_Hall 'P 1'
_cell_length_a 5.189
_cell_length_b 5.189
_cell_length_c 5.189
_cell_angle_alpha 99.38
_cell_angle_beta 99.38
_cell_angle_gamma 132.37
loop_
_atom_site_label
_atom_site_type_symbol
_atom_site_fract_x
_atom_site_fract_y
_atom_site_fract_z
Li1 Li 0.000 0.000 0.000
Co1 Co 0.204 0.599 0.802
Co2 Co 0.401 0.204 0.605
Co3 Co 0.599 0.796 0.395
Co4 Co 0.796 0.401 0.198
O1 O 0.108 0.308 0.416
O2 O 0.308 0.892 0.201
O3 O 0.500 0.500 0.000
O4 O 0.692 0.108 0.799
O5 O 0.892 0.692 0.584
```

=====

(3)
Structure and computed PXRD pattern of Li10Co4O9 (a PBE+U-relaxed structure; Cu Kα, 1.54184 Å).
Neutral-atom scattering factors, no anomalous dispersion.

Main lines, in order of rising 2θ (15 to 90 degrees two-theta):
| 2theta | I_rel |
| --- | --- |
| 18.1 | 11.7 |
| 26.2 | 100.0 |
| 33.4 | 30.2 |
| 34.6 | 75.7 |
| 41.5 | 44.6 |
| 55.7 | 44.7 |
| 56.2 | 25.2 |
| 63.0 | 14.4 |
| 66.9 | 20.3 |
| 72.2 | 13.6 |

Structural model:
```
data_Li10Co4O9
_space_group_name_H-M_alt 'P 1'
_space_group_IT_number 1
_space_group_name_Hall 'P 1'
_cell_length_a 9.822
_cell_length_b 9.822
_cell_length_c 4.700
_cell_angle_alpha 90.00
_cell_angle_beta 90.00
_cell_angle_gamma 90.00
loop_
_atom_site_label
_atom_site_type_symbol
_atom_site_fract_x
_atom_site_fract_y
_atom_site_fract_z
Li1 Li 0.063 0.105 0.040
Li2 Li 0.063 0.395 0.040
Li3 Li 0.105 0.063 0.540
Li4 Li 0.105 0.437 0.540
Li5 Li 0.250 0.250 0.082
Li6 Li 0.250 0.250 0.582
Li7 Li 0.395 0.063 0.540
Li8 Li 0.395 0.437 0.540
Li9 Li 0.437 0.105 0.040
Li10 Li 0.437 0.395 0.040
Li11 Li 0.563 0.605 0.960
Li12 Li 0.563 0.895 0.960
Li13 Li 0.605 0.563 0.460
Li14 Li 0.605 0.937 0.460
Li15 Li 0.750 0.750 0.418
Li16 Li 0.750 0.750 0.918
Li17 Li 0.895 0.563 0.460
Li18 Li 0.895 0.937 0.460
Li19 Li 0.937 0.605 0.960
Li20 Li 0.937 0.895 0.960
Co1 Co 0.089 0.750 0.481
Co2 Co 0.250 0.589 0.019
Co3 Co 0.250 0.911 0.019
Co4 Co 0.411 0.750 0.481
Co5 Co 0.589 0.250 0.519
Co6 Co 0.750 0.089 0.981
Co7 Co 0.750 0.411 0.981
Co8 Co 0.911 0.250 0.519
O1 O 0.077 0.577 0.250
O2 O 0.077 0.923 0.250
O3 O 0.092 0.250 0.323
O4 O 0.250 0.092 0.823
O5 O 0.250 0.408 0.823
O6 O 0.250 0.750 0.750
O7 O 0.408 0.250 0.323
O8 O 0.423 0.577 0.250
O9 O 0.423 0.923 0.250
O10 O 0.577 0.077 0.750
O11 O 0.577 0.423 0.750
O12 O 0.592 0.750 0.677
O13 O 0.750 0.250 0.250
O14 O 0.750 0.592 0.177
O15 O 0.750 0.908 0.177
O16 O 0.908 0.750 0.677
O17 O 0.923 0.077 0.750
O18 O 0.923 0.423 0.750
```

=====

(4)
Structure and computed PXRD pattern of LiCo2O4 (a PBE+U-relaxed structure; Cu Kα, 1.54184 Å).
Neutral-atom scattering factors, no anomalous dispersion.

Main lines, in order of rising 2θ (15 to 90 degrees two-theta):
| 2theta | I_rel |
| --- | --- |
| 18.9 | 70.6 |
| 20.2 | 100.0 |
| 26.1 | 33.5 |
| 33.8 | 36.9 |
| 36.7 | 54.9 |
| 37.5 | 55.6 |
| 41.1 | 35.5 |
| 46.7 | 58.4 |
| 61.9 | 45.4 |
| 65.1 | 25.4 |

Structural model:
```
data_LiCo2O4
_space_group_name_H-M_alt 'P 1'
_space_group_IT_number 1
_space_group_name_Hall 'P 1'
_cell_length_a 5.729
_cell_length_b 5.729
_cell_length_c 9.404
_cell_angle_alpha 90.00
_cell_angle_beta 90.00
_cell_angle_gamma 119.88
loop_
_atom_site_label
_atom_site_type_symbol
_atom_site_fract_x
_atom_site_fract_y
_atom_site_fract_z
Li1 Li 0.001 0.999 0.500
Li2 Li 0.332 0.668 0.601
Li3 Li 0.668 0.332 0.101
Li4 Li 0.999 0.001 0.000
Co1 Co 0.169 0.831 0.283
Co2 Co 0.170 0.338 0.283
Co3 Co 0.335 0.665 0.009
Co4 Co 0.338 0.170 0.783
Co5 Co 0.662 0.830 0.283
Co6 Co 0.665 0.335 0.509
Co7 Co 0.830 0.662 0.783
Co8 Co 0.831 0.169 0.783
O1 O 0.000 0.000 0.190
O2 O 0.000 0.000 0.690
O3 O 0.040 0.511 0.159
O4 O 0.164 0.836 0.891
O5 O 0.171 0.327 0.891
O6 O 0.327 0.171 0.391
O7 O 0.334 0.666 0.385
O8 O 0.482 0.518 0.162
O9 O 0.489 0.960 0.159
O10 O 0.511 0.040 0.659
O11 O 0.518 0.482 0.662
O12 O 0.666 0.334 0.885
O13 O 0.673 0.829 0.891
O14 O 0.829 0.673 0.391
O15 O 0.836 0.164 0.391
O16 O 0.960 0.489 0.659
```

=====

(5)
Structure and computed PXRD pattern of Li2CoO3 (a PBE+U-relaxed structure; Cu Kα, 1.54184 Å).
Neutral-atom scattering factors, no anomalous dispersion.

Main lines, in order of rising 2θ (15 to 90 degrees two-theta):
| 2theta | I_rel |
| --- | --- |
| 18.6 | 100.0 |
| 21.0 | 22.2 |
| 21.2 | 14.3 |
| 21.6 | 18.4 |
| 23.4 | 16.6 |
| 35.2 | 16.7 |
| 36.6 | 15.5 |
| 42.3 | 36.4 |
| 44.4 | 31.9 |
| 45.7 | 28.1 |

Structural model:
```
data_Li2CoO3
_space_group_name_H-M_alt 'P 1'
_space_group_IT_number 1
_space_group_name_Hall 'P 1'
_cell_length_a 4.997
_cell_length_b 5.162
_cell_length_c 8.502
_cell_angle_alpha 74.95
_cell_angle_beta 86.71
_cell_angle_gamma 79.34
loop_
_atom_site_label
_atom_site_type_symbol
_atom_site_fract_x
_atom_site_fract_y
_atom_site_fract_z
Li1 Li 0.000 0.000 0.000
Li2 Li 0.002 0.654 0.335
Li3 Li 0.011 0.341 0.667
Li4 Li 0.251 0.746 0.750
Li5 Li 0.499 0.508 0.496
Li6 Li 0.502 0.177 0.830
Li7 Li 0.508 0.835 0.168
Li8 Li 0.750 0.259 0.249
Co1 Co 0.249 0.091 0.418
Co2 Co 0.261 0.419 0.083
Co3 Co 0.746 0.562 0.921
Co4 Co 0.765 0.930 0.583
O1 O 0.107 0.742 0.534
O2 O 0.118 0.372 0.894
O3 O 0.154 0.084 0.212
O4 O 0.369 0.461 0.279
O5 O 0.388 0.735 0.971
O6 O 0.393 0.128 0.606
O7 O 0.607 0.222 0.043
O8 O 0.614 0.885 0.400
O9 O 0.644 0.547 0.726
O10 O 0.863 0.958 0.774
O11 O 0.892 0.623 0.100
O12 O 0.905 0.276 0.458
```

=====

(6)
Structure and computed PXRD pattern of Li7Co2O6 (a PBE+U-relaxed structure; Cu Kα, 1.54184 Å).
Neutral-atom scattering factors, no anomalous dispersion.

Main lines, in order of rising 2θ (15 to 90 degrees two-theta):
| 2theta | I_rel |
| --- | --- |
| 18.5 | 49.2 |
| 18.9 | 100.0 |
| 20.5 | 35.4 |
| 25.0 | 74.9 |
| 28.3 | 35.9 |
| 30.9 | 45.6 |
| 32.5 | 26.7 |
| 40.3 | 33.8 |
| 40.7 | 28.2 |
| 42.1 | 24.3 |

Structural model:
```
data_Li7Co2O6
_space_group_name_H-M_alt 'P 1'
_space_group_IT_number 1
_space_group_name_Hall 'P 1'
_cell_length_a 6.552
_cell_length_b 6.552
_cell_length_c 9.980
_cell_angle_alpha 105.15
_cell_angle_beta 105.15
_cell_angle_gamma 46.05
loop_
_atom_site_label
_atom_site_type_symbol
_atom_site_fract_x
_atom_site_fract_y
_atom_site_fract_z
Li1 Li 0.045 0.955 0.750
Li2 Li 0.179 0.273 0.796
Li3 Li 0.226 0.437 0.593
Li4 Li 0.273 0.179 0.296
Li5 Li 0.327 0.549 0.331
Li6 Li 0.437 0.226 0.093
Li7 Li 0.451 0.673 0.169
Li8 Li 0.549 0.327 0.831
Li9 Li 0.563 0.774 0.907
Li10 Li 0.673 0.451 0.669
Li11 Li 0.727 0.821 0.704
Li12 Li 0.774 0.563 0.407
Li13 Li 0.821 0.727 0.204
Li14 Li 0.955 0.045 0.250
Co1 Co 0.014 0.174 0.031
Co2 Co 0.174 0.014 0.531
Co3 Co 0.826 0.986 0.469
Co4 Co 0.986 0.826 0.969
O1 O 0.055 0.602 0.414
O2 O 0.144 0.627 0.801
O3 O 0.144 0.655 0.130
O4 O 0.345 0.856 0.370
O5 O 0.373 0.856 0.699
O6 O 0.398 0.945 0.086
O7 O 0.602 0.055 0.914
O8 O 0.627 0.144 0.301
O9 O 0.655 0.144 0.630
O10 O 0.856 0.345 0.870
O11 O 0.856 0.373 0.199
O12 O 0.945 0.398 0.586
```

=====

(7)
Structure and computed PXRD pattern of Li4Co5O12 (a PBE+U-relaxed structure; Cu Kα, 1.54184 Å).
Neutral-atom scattering factors, no anomalous dispersion.

Main lines, in order of rising 2θ (15 to 90 degrees two-theta):
| 2theta | I_rel |
| --- | --- |
| 18.2 | 100.0 |
| 37.2 | 19.8 |
| 37.3 | 9.4 |
| 44.4 | 17.8 |
| 44.5 | 17.9 |
| 44.6 | 17.4 |
| 48.4 | 5.3 |
| 63.5 | 9.0 |
| 66.2 | 9.0 |
| 69.3 | 5.8 |

Structural model:
```
data_Li4Co5O12
_space_group_name_H-M_alt 'P 1'
_space_group_IT_number 1
_space_group_name_Hall 'P 1'
_cell_length_a 4.883
_cell_length_b 4.897
_cell_length_c 9.912
_cell_angle_alpha 94.92
_cell_angle_beta 94.62
_cell_angle_gamma 119.86
loop_
_atom_site_label
_atom_site_type_symbol
_atom_site_fract_x
_atom_site_fract_y
_atom_site_fract_z
Li1 Li 0.000 0.000 0.000
Li2 Li 0.092 0.415 0.239
Li3 Li 0.490 0.490 0.479
Li4 Li 0.837 0.159 0.480
Co1 Co 0.251 0.240 0.741
Co2 Co 0.426 0.068 0.239
Co3 Co 0.582 0.907 0.741
Co4 Co 0.758 0.726 0.242
Co5 Co 0.919 0.573 0.742
O1 O 0.049 0.732 0.137
O2 O 0.132 0.080 0.346
O3 O 0.216 0.534 0.638
O4 O 0.278 0.936 0.839
O5 O 0.416 0.352 0.137
O6 O 0.489 0.790 0.350
O7 O 0.559 0.212 0.639
O8 O 0.623 0.614 0.838
O9 O 0.691 0.998 0.141
O10 O 0.758 0.431 0.350
O11 O 0.876 0.870 0.640
O12 O 0.946 0.267 0.839
```

=====

Q: Number 5 is which compound?
A: Li2CoO3